Structure and simulated X-ray diffraction stick pattern of CePaFe2O8 (a cell relaxed with PBE+U; Cu Kα (λ = 1.5418 Å)).

Crystal structure
```
data_CePaFe2O8
_cell_length_a 7.0448
_cell_length_b 7.0448
_cell_length_c 6.7454
_cell_angle_alpha 90.00
_cell_angle_beta 90.00
_cell_angle_gamma 90.00
_symmetry_space_group_name_H-M 'I -4 m 2'
_symmetry_Int_Tables_number 119
_symmetry_space_group_name_Hall 'I -4 -2'
loop_
_atom_site_label
_atom_site_type_symbol
_atom_site_fract_x
_atom_site_fract_y
_atom_site_fract_z
Ce1 Ce 0.0000 0.0000 0.0000
Pa1 Pa 0.0000 0.5000 0.7500
Fe1 Fe 0.0000 0.0000 0.5000
Fe2 Fe 0.0000 0.5000 0.2500
O1 O 0.0000 0.1940 0.6899
O2 O 0.0000 0.3154 0.0544
```

Largest 10 diffraction maxima, by angle, 2θ = 10–90°:
| d/Å | Position (°2θ) | Rel. int. |
| --- | --- | --- |
| 4.872 | 18.2 | 59 |
| 3.522 | 25.3 | 100 |
| 2.855 | 31.3 | 18 |
| 2.793 | 32.0 | 85 |
| 2.491 | 36.1 | 24 |
| 2.218 | 40.7 | 15 |
| 1.859 | 49.0 | 67 |
| 1.761 | 51.9 | 16 |
| 1.521 | 60.9 | 16 |
| 1.490 | 62.3 | 19 |